# 1
Structure and simulated X-ray powder pattern of Mg6Ag5 (a GGA-PBE-relaxed structure; Cu Kα, 1.54184 Å).

Top 8 peaks for 10° ≤ 2θ ≤ 90°, low angle first:
two_theta, I_rel, index
26.57, 28, 0 2 0
27.19, 41, 1 0 3
38.37, 100, 1 2 3
38.83, 48, 2 0 0
47.65, 17, 2 2 0
56.08, 16, 2 0 6
69.07, 16, 2 4 0
69.99, 31, 3 2 3

Structure:
a b c (Å): 4.6423 6.7144 13.9062
angles (deg): 90.00 90.00 90.00
Space group Immm (No. 71)
Asymmetric unit:
Mg (0.0000, 0.2368, 0.0000) [4 per cell]
Mg (0.0000, 0.2579, 0.3383) [8 per cell]
Ag (0.0000, 0.0000, 0.1721) [4 per cell]
Ag (0.0000, 0.0000, 0.5000) [2 per cell]
Ag (0.0000, 0.5000, 0.1662) [4 per cell]

# 2
Structure and simulated X-ray powder pattern of Mg17Ag12 (a GGA-PBE-relaxed structure; Cu Kα, 1.54184 Å).

Top 8 peaks for 10° ≤ 2θ ≤ 90°, low angle first:
two_theta, I_rel, index
20.79, 100, 2 1 1
29.57, 17, 2 2 2
36.43, 83, 4 1 1
40.43, 81, 3 3 2
44.13, 65, 5 1 0
62.79, 29, 5 5 0
65.55, 18, 7 2 1
86.18, 18, 6 5 5

Structure:
a b c (Å): 10.4648 10.4648 10.4648
angles (deg): 90.00 90.00 90.00
Space group I-43m (No. 217)
Asymmetric unit:
Mg (0.0000, 0.0000, 0.0000) [2 per cell]
Mg (0.0475, 0.3583, 0.6417) [24 per cell]
Mg (0.1671, 0.1671, 0.1671) [8 per cell]
Ag (0.0940, 0.0940, 0.7121) [24 per cell]

# 3
Structure and simulated X-ray powder pattern of Mg3Ag13 (a GGA-PBE-relaxed structure; Cu Kα, 1.54184 Å).

Top 8 peaks for 10° ≤ 2θ ≤ 90°, low angle first:
two_theta, I_rel, index
37.43, 100, 2 2 2
42.38, 17, 0 0 4
43.95, 16, 0 4 0
44.14, 15, 4 0 0
62.84, 10, 4 0 4
74.24, 12, 2 2 6
76.46, 11, 2 6 2
76.74, 11, 6 2 2

Structure:
a b c (Å): 8.2072 8.2412 8.5321
angles (deg): 90.00 90.00 90.00
Space group Amm2 (No. 38)
Asymmetric unit:
Mg (0.0000, 0.0000, 0.0000) [2 per cell]
Mg (0.2575, 0.0000, 0.2761) [4 per cell]
Ag (0.0000, 0.0000, 0.5186) [2 per cell]
Ag (0.0000, 0.2392, 0.2635) [4 per cell]
Ag (0.2484, 0.0000, 0.7656) [4 per cell]
Ag (0.2494, 0.2457, 0.0188) [8 per cell]
Ag (0.5000, 0.0000, 0.0202) [2 per cell]
Ag (0.5000, 0.0000, 0.5191) [2 per cell]
Ag (0.5000, 0.2491, 0.7693) [4 per cell]

# 4
Structure and simulated X-ray powder pattern of Mg3Ag4 (a GGA-PBE-relaxed structure; Cu Kα, 1.54184 Å).

Top 8 peaks for 10° ≤ 2θ ≤ 90°, low angle first:
two_theta, I_rel, index
26.83, 66, 2 1 1
38.19, 100, 1 4 0
38.42, 99, 3 -2 2
47.29, 13, 6 -4 1
55.29, 32, 4 2 2
69.03, 16, 6 3 0
69.18, 31, 0 7 2
69.63, 15, 2 1 4

Structure:
a b c (Å): 12.4697 12.4697 5.7236
angles (deg): 90.00 90.00 120.00
Space group R-3 (No. 148, hexagonal axes)
Asymmetric unit:
Mg (0.0471, 0.2329, 0.1791) [18 per cell]
Ag (0.0000, 0.0000, 0.0000) [3 per cell]
Ag (0.0000, 0.0000, 0.5000) [3 per cell]
Ag (0.0493, 0.2449, 0.6753) [18 per cell]

# 5
Structure and simulated X-ray powder pattern of MgAg3 (a GGA-PBE-relaxed structure; Cu Kα, 1.54184 Å).

Top 8 peaks for 10° ≤ 2θ ≤ 90°, low angle first:
two_theta, I_rel, index
23.77, 25, 1 1 0
33.86, 13, 2 0 0
38.00, 100, 2 1 0
41.79, 29, 2 1 1
60.59, 15, 2 2 2
63.34, 21, 3 2 0
66.03, 14, 3 2 1
83.72, 19, 4 2 1

Structure:
a b c (Å): 5.2942 5.2942 5.2942
angles (deg): 90.00 90.00 90.00
Space group Pm-3n (No. 223)
Asymmetric unit:
Mg (0.0000, 0.0000, 0.0000) [2 per cell]
Ag (0.0000, 0.2500, 0.5000) [6 per cell]

# 6
Structure and simulated X-ray powder pattern of Mg2Ag13 (a GGA-PBE-relaxed structure; Cu Kα, 1.54184 Å).

Top 8 peaks for 10° ≤ 2θ ≤ 90°, low angle first:
two_theta, I_rel, index
12.97, 61, 0 0 3
13.93, 77, 1 0 1
21.86, 40, 1 0 4
27.02, 57, 0 2 1
35.79, 52, 2 1 1
39.77, 100, 2 1 4
42.00, 58, 1 2 5
42.67, 57, 0 3 3

Structure:
a b c (Å): 7.7226 7.7226 20.4776
angles (deg): 90.00 90.00 120.00
Space group R-3m (No. 166, hexagonal axes)
Asymmetric unit:
Mg (0.0000, 0.0000, 0.2334) [6 per cell]
Ag (0.0000, 0.0000, 0.0000) [3 per cell]
Ag (0.0855, 0.5427, 0.5589) [18 per cell]
Ag (0.0901, 0.5450, 0.3113) [18 per cell]

# 7
Structure and simulated X-ray powder pattern of Mg5Ag (a GGA-PBE-relaxed structure; Cu Kα, 1.54184 Å).

Top 8 peaks for 10° ≤ 2θ ≤ 90°, low angle first:
two_theta, I_rel, index
14.02, 100, 1 0 1
18.55, 29, 2 0 0
31.20, 45, 1 1 1
33.58, 30, 2 1 0
36.39, 46, 1 1 2
37.15, 59, 2 0 3
37.61, 32, 4 0 0
41.29, 35, 3 1 1

Structure:
a b c (Å): 9.5657 3.2166 8.4165
angles (deg): 90.00 90.00 90.00
Space group Pmma (No. 51)
Asymmetric unit:
Mg (0.0000, 0.0000, 0.0000) [2 per cell]
Mg (0.0293, 0.5000, 0.3214) [4 per cell]
Mg (0.2500, 0.0000, 0.5419) [2 per cell]
Mg (0.2500, 0.5000, 0.8772) [2 per cell]
Ag (0.2500, 0.0000, 0.1817) [2 per cell]

# 8
Structure and simulated X-ray powder pattern of MgAg4 (a GGA-PBE-relaxed structure; Cu Kα, 1.54184 Å).

Top 8 peaks for 10° ≤ 2θ ≤ 90°, low angle first:
two_theta, I_rel, index
11.93, 22, 0 0 2
37.04, 100, 1 1 0
37.87, 94, 0 1 5
42.36, 68, 1 0 5
45.78, 27, 0 2 0
64.13, 37, 1 2 5
73.45, 25, 2 1 5
75.03, 23, 1 1 10

Structure:
a b c (Å): 3.0700 3.9637 14.8385
angles (deg): 90.00 90.00 90.00
Space group Immm (No. 71)
Asymmetric unit:
Mg (0.0000, 0.0000, 0.0000) [2 per cell]
Ag (0.0000, 0.0000, 0.1997) [4 per cell]
Ag (0.0000, 0.0000, 0.4013) [4 per cell]